# 1
For Nb3Cl8, a structure optimized by DFT (GGA-PBE) gives the theoretical powder XRD pattern in this record (CuKα).
Kinematic intensities with the Lorentz-polarization factor, no thermal factor.

Cell and atoms:
Cell lengths 6.7834, 6.7834, 12.4614 Å; angles 90.00, 90.00, 120.00 degrees
Fractional coordinates of all 22 atoms:
Nb (0.0561, 0.5281, 0.2466)
Nb (0.4719, 0.5281, 0.2466)
Nb (0.4719, 0.9439, 0.2466)
Nb (0.5281, 0.0561, 0.7534)
Nb (0.5281, 0.4719, 0.7534)
Nb (0.9439, 0.4719, 0.7534)
Cl (0.1649, 0.3297, 0.8622)
Cl (0.1649, 0.8351, 0.8622)
Cl (0.1689, 0.3378, 0.3791)
Cl (0.1689, 0.8311, 0.3791)
Cl (0.3297, 0.1649, 0.1378)
Cl (0.3333, 0.6667, 0.0993)
Cl (0.3333, 0.6667, 0.6446)
Cl (0.3378, 0.1689, 0.6209)
Cl (0.6622, 0.8311, 0.3791)
Cl (0.6667, 0.3333, 0.3554)
Cl (0.6667, 0.3333, 0.9007)
Cl (0.6703, 0.8351, 0.8622)
Cl (0.8311, 0.1689, 0.6209)
Cl (0.8311, 0.6622, 0.6209)
Cl (0.8351, 0.1649, 0.1378)
Cl (0.8351, 0.6703, 0.1378)

Most intense lines, 10 to 80 degrees two-theta, sorted by position:
- 14.21 deg, I 100
- 15.08 deg, I 29
- 16.68 deg, I 17
- 20.78 deg, I 25
- 32.53 deg, I 9
- 33.74 deg, I 98
- 41.30 deg, I 15
- 42.29 deg, I 62
- 46.37 deg, I 19
- 54.08 deg, I 43



# 2
For PbAu2Cl8, a structure optimized by DFT (GGA-PBE) gives the theoretical powder XRD pattern in this record (CuKα).
Kinematic intensities with the Lorentz-polarization factor, no thermal factor.

Cell and atoms:
Cell lengths 7.9779, 7.9779, 7.9779 Å; angles 127.93, 127.93, 76.74 degrees
Fractional coordinates of all 11 atoms:
Pb (0.0000, 0.0000, 0.0000)
Au (0.2500, 0.7500, 0.5000)
Au (0.7500, 0.2500, 0.5000)
Cl (0.0517, 0.5447, 0.8373)
Cl (0.2145, 0.0517, 0.5070)
Cl (0.2925, 0.4553, 0.5070)
Cl (0.4553, 0.9483, 0.1627)
Cl (0.5447, 0.7075, 0.4930)
Cl (0.7075, 0.2145, 0.1627)
Cl (0.7855, 0.2925, 0.8373)
Cl (0.9483, 0.7855, 0.4930)

Most intense lines, 10 to 80 degrees two-theta, sorted by position:
- 14.49 deg, I 32
- 17.91 deg, I 18
- 22.91 deg, I 100
- 25.44 deg, I 21
- 29.40 deg, I 21
- 36.28 deg, I 20
- 38.60 deg, I 42
- 43.34 deg, I 41
- 47.31 deg, I 19
- 61.03 deg, I 15



# 3
For Nd2Dy3Fe2B6, a structure optimized by DFT (GGA-PBE) gives the theoretical powder XRD pattern in this record (CuKα).
Kinematic intensities with the Lorentz-polarization factor, no thermal factor.

Cell and atoms:
Cell lengths 8.5205, 8.5205, 8.5205 Å; angles 37.17, 37.17, 37.17 degrees
Fractional coordinates of all 13 atoms:
Nd (0.2460, 0.2460, 0.2460)
Nd (0.7540, 0.7540, 0.7540)
Dy (0.0804, 0.0804, 0.0804)
Dy (0.5000, 0.5000, 0.5000)
Dy (0.9196, 0.9196, 0.9196)
Fe (0.3794, 0.3794, 0.3794)
Fe (0.6206, 0.6206, 0.6206)
B (0.0000, 0.3330, 0.6670)
B (0.0000, 0.6670, 0.3330)
B (0.3330, 0.0000, 0.6670)
B (0.3330, 0.6670, 0.0000)
B (0.6670, 0.0000, 0.3330)
B (0.6670, 0.3330, 0.0000)

Most intense lines, 10 to 80 degrees two-theta, sorted by position:
- 22.44 deg, I 19
- 26.66 deg, I 19
- 32.52 deg, I 46
- 32.98 deg, I 100
- 35.75 deg, I 14
- 40.26 deg, I 37
- 47.00 deg, I 16
- 57.60 deg, I 21
- 58.61 deg, I 17
- 58.90 deg, I 22